Entry 1:
Theoretical XRD peak list
Compound: Tb4Y9Tl11
Radiation: a wavelength of 1.5418 Å
Structure: DFT lattice parameters and positions (GGA-PBE)
Neutral-atom scattering factors, no anomalous dispersion.

Cell and atoms:
Unit cell a=16.2651 b=22.9276 c=3.5922 alpha=90.00 beta=90.00 gamma=90.00
Space group Cmmm (No. 65)
Symmetry-distinct sites (fractional):
Tb1 0.1662 0.0816 0.0000 (multiplicity 8)
Y1 0.0000 0.0000 0.0000 (multiplicity 2)
Y2 0.1103 0.4067 0.0000 (multiplicity 8)
Y3 0.1141 0.2286 0.0000 (multiplicity 8)
Tl1 0.0000 0.1237 0.5000 (multiplicity 4)
Tl2 0.0000 0.3142 0.5000 (multiplicity 4)
Tl3 0.0000 0.5000 0.5000 (multiplicity 2)
Tl4 0.2135 0.5000 0.5000 (multiplicity 4)
Tl5 0.2311 0.3205 0.5000 (multiplicity 8)

Principal peaks in the range 5 to 70 degrees two-theta, low angle first:
20.12 deg, 4.413 Å, rel. 19; 32.14 deg, 2.785 Å, rel. 100; 33.28 deg, 2.692 Å, rel. 85; 33.78 deg, 2.653 Å, rel. 52; 34.26 deg, 2.617 Å, rel. 74; 37.51 deg, 2.398 Å, rel. 25; 50.84 deg, 1.796 Å, rel. 23; 58.54 deg, 1.577 Å, rel. 31; 60.83 deg, 1.523 Å, rel. 33; 61.43 deg, 1.509 Å, rel. 19



Entry 2:
Theoretical XRD peak list
Compound: Sc4Bi3H2
Radiation: a wavelength of 1.5418 Å
Structure: DFT lattice parameters and positions (GGA-PBE)
Neutral-atom scattering factors, no anomalous dispersion.

Cell and atoms:
Unit cell a=12.4905 b=9.5596 c=6.3712 alpha=90.00 beta=101.92 gamma=90.00
Space group C2/c (No. 15)
Symmetry-distinct sites (fractional):
Sc1 0.1192 0.2031 0.0275 (multiplicity 8)
Sc2 0.1856 0.4401 0.6206 (multiplicity 8)
Bi1 0.0000 0.4154 0.2500 (multiplicity 4)
Bi2 0.1243 0.1244 0.5624 (multiplicity 8)
H1 0.2134 0.3680 0.9411 (multiplicity 8)

Principal peaks in the range 5 to 70 degrees two-theta, low angle first:
23.45 deg, 3.793 Å, rel. 45; 23.74 deg, 3.748 Å, rel. 54; 25.30 deg, 3.521 Å, rel. 45; 29.23 deg, 3.055 Å, rel. 100; 29.59 deg, 3.019 Å, rel. 55; 31.70 deg, 2.823 Å, rel. 38; 34.90 deg, 2.571 Å, rel. 42; 36.69 deg, 2.449 Å, rel. 39; 36.86 deg, 2.438 Å, rel. 57; 38.00 deg, 2.368 Å, rel. 39



Entry 3:
Theoretical XRD peak list
Compound: Ac2La3Rh3
Radiation: a wavelength of 1.5418 Å
Structure: DFT lattice parameters and positions (GGA-PBE)
Neutral-atom scattering factors, no anomalous dispersion.

Cell and atoms:
Unit cell a=13.3481 b=5.8751 c=14.1446 alpha=90.00 beta=91.88 gamma=90.00
Space group Cm (No. 8)
Symmetry-distinct sites (fractional):
Ac1 0.0000 0.0000 0.0000 (multiplicity 2)
Ac2 0.0151 0.0000 0.3627 (multiplicity 2)
Ac3 0.1297 0.5000 0.5588 (multiplicity 2)
Ac4 0.3218 0.0000 0.8592 (multiplicity 2)
La1 0.1031 0.5000 0.8184 (multiplicity 2)
La2 0.2199 0.5000 0.0506 (multiplicity 2)
La3 0.2271 0.5000 0.3134 (multiplicity 2)
La4 0.3480 0.0000 0.4922 (multiplicity 2)
La5 0.4135 0.0000 0.1832 (multiplicity 2)
La6 0.4236 0.5000 0.6820 (multiplicity 2)
Rh1 0.0166 0.5000 0.9962 (multiplicity 2)
Rh2 0.0290 0.5000 0.3705 (multiplicity 2)
Rh3 0.3060 0.5000 0.8684 (multiplicity 2)
Rh4 0.3316 0.5000 0.4901 (multiplicity 2)
Rh5 0.3786 0.5000 0.1816 (multiplicity 2)
Rh6 0.4528 0.0000 0.6799 (multiplicity 2)

Principal peaks in the range 5 to 70 degrees two-theta, low angle first:
13.27 deg, 6.670 Å, rel. 24; 16.49 deg, 5.377 Å, rel. 34; 23.47 deg, 3.791 Å, rel. 30; 24.96 deg, 3.567 Å, rel. 22; 25.12 deg, 3.545 Å, rel. 22; 30.02 deg, 2.977 Å, rel. 23; 30.43 deg, 2.937 Å, rel. 100; 32.37 deg, 2.766 Å, rel. 33; 33.40 deg, 2.682 Å, rel. 29; 45.02 deg, 2.014 Å, rel. 26